Simulated powder X-ray diffraction pattern of Rb2TlPb7 for Cu Kα X-rays, from a DFT-relaxed cell (PBE, Alexandria).
No peak broadening, texture or thermal motion is included.

Most intense lines, 2θ = 5–70°, by intensity:
27.25 deg, intensity 100, (1 1 2)
35.13 deg, intensity 91, (1 1 4)
34.37 deg, intensity 76, (2 0 0)
18.12 deg, intensity 41, (1 0 1)
25.44 deg, intensity 41, (1 0 3)
62.06 deg, intensity 37, (3 1 4)
12.50 deg, intensity 36, (0 0 2)
36.08 deg, intensity 33, (1 0 5)
49.40 deg, intensity 28, (2 2 0)
57.33 deg, intensity 26, (3 1 2)
50.69 deg, intensity 26, (2 1 5)
63.51 deg, intensity 24, (2 0 8)

Structural model:
abc: 5.218 5.218 14.162
angles: 90.00 90.00 90.00
Space group P-4m2 (No. 115)
Inequivalent atoms, fractional coordinates:
1 Rb 0.000 0.500 0.248 [2 per cell]
2 Tl 0.500 0.500 0.000 [1 per cell]
3 Pb 0.000 0.000 0.000 [1 per cell]
4 Pb 0.000 0.000 0.500 [1 per cell]
5 Pb 0.000 0.500 0.635 [2 per cell]
6 Pb 0.000 0.500 0.866 [2 per cell]
7 Pb 0.500 0.500 0.500 [1 per cell]